Calculated X-ray diffraction stick pattern of LiMn5O8 for copper Kα, from a cell relaxed with PBE+U.
Lines closer than 0.1° are merged.

```
LiMn5O8
1.0
8.5392 0.0000 0.0000
0.0000 8.5392 0.0000
0.0000 0.0000 8.5392
Li Mn O
4 20 32
Direct
0.1250 0.1250 0.1250
0.3750 0.8750 0.6250
0.6250 0.3750 0.8750
0.8750 0.6250 0.3750
0.0022 0.9978 0.4978
0.1243 0.3750 0.3743
0.1250 0.6257 0.6243
0.1257 0.8757 0.8750
0.2478 0.7522 0.2522
0.2522 0.2478 0.7522
0.3743 0.1243 0.3750
0.3750 0.3743 0.1243
0.3757 0.6250 0.8743
0.4978 0.0022 0.9978
0.5022 0.5022 0.5022
0.6243 0.1250 0.6257
0.6250 0.8743 0.3757
0.6257 0.6243 0.1250
0.7478 0.7478 0.7478
0.7522 0.2522 0.2478
0.8743 0.3757 0.6250
0.8750 0.1257 0.8757
0.8757 0.8750 0.1257
0.9978 0.4978 0.0022
0.1028 0.8731 0.1099
0.1099 0.1028 0.8731
0.1119 0.3881 0.6119
0.1231 0.8528 0.6401
0.1269 0.6099 0.3972
0.1381 0.6381 0.8619
0.1401 0.3769 0.1472
0.1472 0.1401 0.3769
0.3528 0.8599 0.8769
0.3599 0.6231 0.6472
0.3619 0.3619 0.3619
0.3731 0.3901 0.8972
0.3769 0.1472 0.1401
0.3881 0.6119 0.1119
0.3901 0.8972 0.3731
0.3972 0.1269 0.6099
0.6028 0.6269 0.8901
0.6099 0.3972 0.1269
0.6119 0.1119 0.3881
0.6231 0.6472 0.3599
0.6269 0.8901 0.6028
0.6381 0.8619 0.1381
0.6401 0.1231 0.8528
0.6472 0.3599 0.6231
0.8528 0.6401 0.1231
0.8599 0.8769 0.3528
0.8619 0.1381 0.6381
0.8731 0.1099 0.1028
0.8769 0.3528 0.8599
0.8881 0.8881 0.8881
0.8901 0.6028 0.6269
0.8972 0.3731 0.3901
```

Largest 8 diffraction maxima, sorted by position, 2θ from 10° to 90°:
two_theta, intensity, (hkl)
23.29, 19, 2 1 0
29.59, 40, 2 2 0
34.85, 100, 3 1 1
42.34, 17, 4 0 0
52.50, 13, 4 2 2
55.95, 38, 5 1 1
61.42, 47, 4 4 0
87.81, 16, 5 5 3